Structure and computed X-ray powder pattern of LiVF4 (a crystal structure in the Materials Project, relaxed with PBE+U; λ = 1.5418 Å (Cu Kα)).
Intensities are scaled so that the largest is 100.

Cell: 5.3637 5.3637 6.1873 Å, 90.00 90.00 98.99°
Fractional coordinates of all 12 atoms:
Li  0.1523  0.8477  0.7500
Li  0.8477  0.1523  0.2500
V  0.4789  0.5211  0.2500
V  0.5211  0.4789  0.7500
F  0.1854  0.2730  0.2500
F  0.2730  0.1854  0.7500
F  0.3394  0.6606  0.5299
F  0.3394  0.6606  0.9701
F  0.6606  0.3394  0.0299
F  0.6606  0.3394  0.4701
F  0.7270  0.8146  0.2500
F  0.8146  0.7270  0.7500

The 6 most intense peaks (2θ = 5–70°), by intensity:
| 2theta | d (Å) | I_rel |
| --- | --- | --- |
| 16.7 | 5.298 | 100.0 |
| 36.5 | 2.465 | 30.1 |
| 21.8 | 4.078 | 26.7 |
| 46.3 | 1.960 | 21.4 |
| 40.4 | 2.234 | 16.0 |
| 25.6 | 3.484 | 14.0 |